This entry pairs a crystal structure of Tl16Cd12Pb with its calculated X-ray powder pattern. Radiation: Cu Kα (λ = 1.5418 Å). Structure: DFT lattice parameters and positions (GGA-PBE).
Neutral-atom scattering factors, no anomalous dispersion.

Peak list (10 most intense, 2θ from 10° to 80°, sorted by position)
two_theta, I_rel
30.41, 18
31.84, 73
32.02, 34
32.24, 99
32.52, 100
32.63, 19
32.74, 47
36.02, 17
57.34, 13
58.13, 21

Structure:
```
Tl16Cd12Pb
1.0
5.893 -8.266 0.000
5.893 8.266 0.000
-5.575 0.000 8.343
Tl Cd Pb
16 12 1
direct
0.000 0.000 0.000 Tl
0.000 0.397 0.035 Tl
0.002 0.647 0.359 Tl
0.003 0.003 0.362 Tl
0.297 0.610 0.967 Tl
0.315 0.708 0.672 Tl
0.346 0.346 0.700 Tl
0.397 0.000 0.035 Tl
0.400 0.680 0.358 Tl
0.608 0.608 0.652 Tl
0.610 0.297 0.967 Tl
0.647 0.002 0.359 Tl
0.675 0.998 0.756 Tl
0.680 0.400 0.358 Tl
0.708 0.315 0.672 Tl
0.998 0.675 0.756 Tl
0.000 0.365 0.540 Cd
0.181 0.361 0.348 Cd
0.181 0.816 0.174 Cd
0.182 0.996 0.721 Cd
0.361 0.181 0.348 Cd
0.365 0.000 0.540 Cd
0.639 0.639 0.184 Cd
0.642 0.827 0.998 Cd
0.816 0.181 0.174 Cd
0.818 0.818 0.542 Cd
0.827 0.642 0.998 Cd
0.996 0.182 0.721 Cd
0.317 0.317 0.063 Pb
```



This entry pairs a crystal structure of Tl12CdPb6 with its calculated X-ray powder pattern. Radiation: Cu Kα (λ = 1.5418 Å). Structure: DFT lattice parameters and positions (GGA-PBE).
Neutral-atom scattering factors, no anomalous dispersion.

Peak list (10 most intense, 2θ from 10° to 80°, sorted by position)
two_theta, I_rel
25.81, 16
31.41, 44
31.66, 53
31.79, 100
33.34, 69
33.51, 53
34.91, 19
48.17, 15
55.15, 22
58.86, 26

Structure:
```
Tl12CdPb6
1.0
5.969 3.446 4.937
-5.969 3.446 4.937
0.000 -6.892 4.937
Tl Cd Pb
12 1 6
direct
0.015 0.918 0.313 Tl
0.082 0.687 0.985 Tl
0.126 0.450 0.351 Tl
0.313 0.015 0.918 Tl
0.351 0.126 0.450 Tl
0.450 0.351 0.126 Tl
0.550 0.649 0.874 Tl
0.649 0.874 0.550 Tl
0.687 0.985 0.082 Tl
0.874 0.550 0.649 Tl
0.918 0.313 0.015 Tl
0.985 0.082 0.687 Tl
0.500 0.500 0.500 Cd
0.239 0.760 0.612 Pb
0.240 0.388 0.761 Pb
0.388 0.761 0.240 Pb
0.612 0.239 0.760 Pb
0.760 0.612 0.239 Pb
0.761 0.240 0.388 Pb
```



This entry pairs a crystal structure of Tl2CdPb12 with its calculated X-ray powder pattern. Radiation: Cu Kα (λ = 1.5418 Å). Structure: DFT lattice parameters and positions (GGA-PBE).
Neutral-atom scattering factors, no anomalous dispersion.

Peak list (10 most intense, 2θ from 10° to 80°, sorted by position)
two_theta, I_rel
24.46, 23
27.62, 100
30.30, 31
30.91, 29
31.98, 17
33.59, 27
35.80, 89
37.74, 66
53.93, 21
68.36, 19

Structure:
```
Tl2CdPb12
1.0
6.742 0.000 0.000
0.000 6.742 0.000
0.000 0.000 22.535
Tl Cd Pb
4 2 24
direct
0.250 0.750 0.228 Tl
0.250 0.750 0.772 Tl
0.750 0.250 0.228 Tl
0.750 0.250 0.772 Tl
0.250 0.750 0.500 Cd
0.750 0.250 0.500 Cd
0.000 0.000 0.408 Pb
0.000 0.000 0.592 Pb
0.000 0.500 0.408 Pb
0.000 0.500 0.592 Pb
0.064 0.564 0.068 Pb
0.064 0.936 0.932 Pb
0.250 0.250 0.167 Pb
0.250 0.250 0.309 Pb
0.250 0.250 0.691 Pb
0.250 0.250 0.833 Pb
0.436 0.564 0.932 Pb
0.436 0.936 0.068 Pb
0.500 0.000 0.408 Pb
0.500 0.000 0.592 Pb
0.500 0.500 0.408 Pb
0.500 0.500 0.592 Pb
0.564 0.064 0.932 Pb
0.564 0.436 0.068 Pb
0.750 0.750 0.167 Pb
0.750 0.750 0.309 Pb
0.750 0.750 0.691 Pb
0.750 0.750 0.833 Pb
0.936 0.064 0.068 Pb
0.936 0.436 0.932 Pb
```



This entry pairs a crystal structure of Tl6Cd3Pb with its calculated X-ray powder pattern. Radiation: Cu Kα (λ = 1.5418 Å). Structure: DFT lattice parameters and positions (GGA-PBE).
Neutral-atom scattering factors, no anomalous dispersion.

Peak list (10 most intense, 2θ from 10° to 80°, sorted by position)
two_theta, I_rel
26.42, 35
29.41, 85
31.73, 57
31.89, 24
33.51, 20
34.83, 100
43.80, 29
51.71, 20
60.16, 31
63.43, 24

Structure:
```
Tl6Cd3Pb
1.0
6.513 0.000 0.000
-3.257 5.641 0.000
0.000 0.000 8.419
Tl Cd Pb
6 3 1
direct
0.000 0.415 0.300 Tl
0.000 0.585 0.700 Tl
0.415 0.000 0.300 Tl
0.415 0.415 0.700 Tl
0.585 0.000 0.700 Tl
0.585 0.585 0.300 Tl
0.000 0.000 0.000 Cd
0.333 0.667 0.000 Cd
0.667 0.333 0.000 Cd
0.000 0.000 0.500 Pb
```



This entry pairs a crystal structure of TlCd10Pb with its calculated X-ray powder pattern. Radiation: Cu Kα (λ = 1.5418 Å). Structure: DFT lattice parameters and positions (GGA-PBE).
Neutral-atom scattering factors, no anomalous dispersion.

Peak list (10 most intense, 2θ from 10° to 80°, sorted by position)
two_theta, I_rel
24.86, 32
29.80, 26
34.17, 34
34.69, 67
35.09, 100
36.68, 45
51.00, 22
55.80, 26
61.89, 19
74.15, 22

Structure:
```
TlCd10Pb
1.0
4.901 0.000 0.000
0.000 6.091 0.000
0.000 0.000 10.333
Tl Cd Pb
1 10 1
direct
0.000 0.000 0.000 Tl
0.000 0.000 0.335 Cd
0.000 0.000 0.665 Cd
0.000 0.500 0.167 Cd
0.000 0.500 0.833 Cd
0.500 0.000 0.500 Cd
0.500 0.251 0.250 Cd
0.500 0.251 0.750 Cd
0.500 0.500 0.000 Cd
0.500 0.749 0.250 Cd
0.500 0.749 0.750 Cd
0.000 0.500 0.500 Pb
```



This entry pairs a crystal structure of Tl2Cd3Pb3 with its calculated X-ray powder pattern. Radiation: Cu Kα (λ = 1.5418 Å). Structure: DFT lattice parameters and positions (GGA-PBE).
Neutral-atom scattering factors, no anomalous dispersion.

Peak list (10 most intense, 2θ from 10° to 80°, sorted by position)
two_theta, I_rel
25.40, 6
31.86, 28
31.93, 29
33.53, 100
45.73, 21
50.48, 9
57.88, 40
60.96, 18
70.46, 12
76.72, 9

Structure:
```
Tl2Cd3Pb3
1.0
-1.808 2.803 11.237
1.808 -2.803 11.237
1.808 2.803 -11.237
Tl Cd Pb
2 3 3
direct
0.244 0.244 0.000 Tl
0.756 0.756 0.000 Tl
0.123 0.623 0.500 Cd
0.500 0.500 0.000 Cd
0.877 0.377 0.500 Cd
0.000 0.000 0.000 Pb
0.380 0.880 0.500 Pb
0.620 0.120 0.500 Pb
```



This entry pairs a crystal structure of Tl16CdPb12 with its calculated X-ray powder pattern. Radiation: Cu Kα (λ = 1.5418 Å). Structure: DFT lattice parameters and positions (GGA-PBE).
Neutral-atom scattering factors, no anomalous dispersion.

Peak list (10 most intense, 2θ from 10° to 80°, sorted by position)
two_theta, I_rel
29.13, 18
30.90, 100
30.99, 81
34.22, 30
34.33, 15
34.43, 15
35.82, 13
37.32, 14
37.41, 13
54.99, 20

Structure:
```
Tl16CdPb12
1.0
6.133 -8.698 0.000
6.133 8.698 0.000
-6.108 0.000 8.639
Tl Cd Pb
16 1 12
direct
0.000 0.000 0.000 Tl
0.001 0.001 0.649 Tl
0.001 0.593 0.962 Tl
0.003 0.316 0.243 Tl
0.003 0.352 0.651 Tl
0.283 0.691 0.340 Tl
0.312 0.592 0.647 Tl
0.316 0.003 0.243 Tl
0.352 0.003 0.651 Tl
0.410 0.721 0.058 Tl
0.592 0.312 0.647 Tl
0.593 0.001 0.962 Tl
0.645 0.645 0.300 Tl
0.688 0.688 0.933 Tl
0.691 0.283 0.340 Tl
0.721 0.410 0.058 Tl
0.411 0.411 0.370 Cd
0.004 0.815 0.278 Pb
0.190 0.379 0.033 Pb
0.192 0.819 0.842 Pb
0.199 0.199 0.461 Pb
0.374 0.374 0.834 Pb
0.379 0.190 0.033 Pb
0.624 0.807 0.650 Pb
0.626 0.999 0.459 Pb
0.807 0.624 0.650 Pb
0.815 0.004 0.278 Pb
0.819 0.192 0.842 Pb
0.999 0.626 0.459 Pb
```



This entry pairs a crystal structure of Tl5CdPb with its calculated X-ray powder pattern. Radiation: Cu Kα (λ = 1.5418 Å). Structure: DFT lattice parameters and positions (GGA-PBE).
Neutral-atom scattering factors, no anomalous dispersion.

Peak list (10 most intense, 2θ from 10° to 80°, sorted by position)
two_theta, I_rel
28.12, 18
30.53, 29
30.65, 26
31.72, 100
33.10, 31
36.01, 12
37.08, 21
42.84, 15
53.03, 13
56.55, 12

Structure:
```
Tl5CdPb
1.0
2.931 -10.681 0.000
2.931 10.681 0.000
-0.333 0.000 7.003
Tl Cd Pb
10 2 2
direct
0.140 0.860 0.750 Tl
0.199 0.268 0.611 Tl
0.268 0.199 0.111 Tl
0.292 0.696 0.515 Tl
0.304 0.708 0.985 Tl
0.696 0.292 0.015 Tl
0.708 0.304 0.485 Tl
0.732 0.801 0.889 Tl
0.801 0.732 0.389 Tl
0.860 0.140 0.250 Tl
0.417 0.583 0.250 Cd
0.583 0.417 0.750 Cd
0.168 0.832 0.250 Pb
0.832 0.168 0.750 Pb
```